# 1
# Sr2MgCu2Bi2O8
Computed PXRD pattern, Cu Kα, 1.54184 Å. Input: a structure optimized by DFT (GGA-PBE).

Peak list (6 most intense, 10° ≤ 2θ ≤ 90°, most intense first)
| 2θ (°) | I/Imax | (hkl) |
| --- | --- | --- |
| 28.02 | 100 | 1 0 5 |
| 34.12 | 62 | 1 1 0 |
| 45.31 | 40 | 1 1 10 |
| 31.47 | 34 | 1 0 7 |
| 49.03 | 30 | 2 0 0 |
| 57.42 | 29 | 2 1 5 |

Cell lengths 3.716, 3.716, 30.890 Å; angles 90.00, 90.00, 90.00 degrees
Space group I4/mmm (No. 139)
One atom of each set of equivalent atoms:
Sr1 0.000 0.000 0.107 (multiplicity 4)
Mg1 0.000 0.000 0.000 (multiplicity 2)
Cu1 0.000 0.000 0.455 (multiplicity 4)
Bi1 0.000 0.000 0.300 (multiplicity 4)
O1 0.000 0.000 0.199 (multiplicity 4)
O2 0.000 0.000 0.368 (multiplicity 4)
O3 0.000 0.500 0.046 (multiplicity 8)

# 2
# Mn3Cu4Bi4
Computed PXRD pattern, Cu Kα, 1.54184 Å. Input: a structure optimized by DFT (GGA-PBE).

Peak list (6 most intense, 10° ≤ 2θ ≤ 90°, most intense first)
| 2θ (°) | I/Imax | (hkl) |
| --- | --- | --- |
| 42.40 | 100 | 4 4 0 |
| 25.59 | 74 | 2 2 2 |
| 38.80 | 49 | 5 1 1 |
| 29.63 | 49 | 4 0 0 |
| 82.80 | 27 | 9 5 1 |
| 50.18 | 25 | 6 2 2 |

Cell lengths 12.059, 12.059, 12.059 Å; angles 90.00, 90.00, 90.00 degrees
Space group Fm-3m (No. 225)
One atom of each set of equivalent atoms:
Mn1 0.000 0.250 0.250 (multiplicity 24)
Cu1 0.110 0.110 0.110 (multiplicity 32)
Bi1 0.000 0.000 0.285 (multiplicity 24)
Bi2 0.250 0.250 0.250 (multiplicity 8)

# 3
# NaTi8Cu6BiO24
Computed PXRD pattern, Cu Kα, 1.54184 Å. Input: a structure optimized by DFT (GGA-PBE).

Peak list (6 most intense, 10° ≤ 2θ ≤ 90°, most intense first)
| 2θ (°) | I/Imax | (hkl) |
| --- | --- | --- |
| 33.95 | 100 | 2 2 0 |
| 60.76 | 49 | 4 2 2 |
| 48.78 | 27 | 4 0 0 |
| 11.85 | 20 | 1 0 0 |
| 26.69 | 16 | 2 1 0 |
| 81.52 | 16 | 6 2 0 |

Cell lengths 7.468, 7.468, 7.468 Å; angles 90.00, 90.00, 90.00 degrees
Space group Pm-3 (No. 200)
One atom of each set of equivalent atoms:
Na1 0.000 0.000 0.000 (multiplicity 1)
Ti1 0.245 0.245 0.245 (multiplicity 8)
Cu1 0.000 0.000 0.500 (multiplicity 3)
Cu2 0.000 0.500 0.500 (multiplicity 3)
Bi1 0.500 0.500 0.500 (multiplicity 1)
O1 0.000 0.306 0.178 (multiplicity 12)
O2 0.196 0.322 0.500 (multiplicity 12)

# 4
# Nd5CuBi3
Computed PXRD pattern, Cu Kα, 1.54184 Å. Input: a structure optimized by DFT (GGA-PBE).

Peak list (6 most intense, 10° ≤ 2θ ≤ 90°, most intense first)
| 2θ (°) | I/Imax | (hkl) |
| --- | --- | --- |
| 32.93 | 100 | 1 1 2 |
| 31.49 | 92 | 2 1 1 |
| 32.25 | 80 | 3 0 0 |
| 41.42 | 26 | 3 1 1 |
| 46.76 | 25 | 2 2 2 |
| 50.65 | 25 | 2 1 3 |

Cell lengths 9.6156, 9.6156, 6.5958 Å; angles 90.00, 90.00, 120.00 degrees
Space group P6_3/mcm (No. 193)
One atom of each set of equivalent atoms:
Nd1 0.0000 0.2582 0.2500 (multiplicity 6)
Nd2 0.3333 0.6667 0.0000 (multiplicity 4)
Cu1 0.0000 0.0000 0.0000 (multiplicity 2)
Bi1 0.0000 0.3855 0.7500 (multiplicity 6)

# 5
# CuBi2O4
Computed PXRD pattern, Cu Kα, 1.54184 Å. Input: a structure optimized by DFT (GGA-PBE).

Peak list (6 most intense, 10° ≤ 2θ ≤ 90°, most intense first)
| 2θ (°) | I/Imax | (hkl) |
| --- | --- | --- |
| 27.47 | 100 | 2 1 1 |
| 45.03 | 37 | 4 1 1 |
| 31.82 | 33 | 0 0 2 |
| 54.61 | 20 | 3 3 2 |
| 54.06 | 19 | 2 1 3 |
| 37.84 | 18 | 2 0 2 |

Cell lengths 8.889, 8.889, 5.627 Å; angles 90.00, 90.00, 90.00 degrees
Space group I4cm (No. 108)
One atom of each set of equivalent atoms:
Cu1 0.000 0.000 0.000 (multiplicity 4)
Bi1 0.171 0.329 0.196 (multiplicity 8)
O1 0.104 0.192 0.517 (multiplicity 16)

# 6
# CuBiO3
Computed PXRD pattern, Cu Kα, 1.54184 Å. Input: a structure optimized by DFT (GGA-PBE).

Peak list (6 most intense, 10° ≤ 2θ ≤ 90°, most intense first)
| 2θ (°) | I/Imax | (hkl) |
| --- | --- | --- |
| 32.90 | 100 | 1 1 0 |
| 58.74 | 39 | 2 1 1 |
| 47.22 | 28 | 2 0 0 |
| 23.10 | 24 | 1 0 0 |
| 40.59 | 20 | 1 1 1 |
| 78.57 | 17 | 3 1 0 |

Cell lengths 3.850, 3.850, 3.850 Å; angles 90.00, 90.00, 90.00 degrees
Space group Pm-3m (No. 221)
One atom of each set of equivalent atoms:
Cu1 0.000 0.000 0.000 (multiplicity 1)
Bi1 0.500 0.500 0.500 (multiplicity 1)
O1 0.000 0.000 0.500 (multiplicity 3)